Diffraction record for TlCdF3. The XRD peak list is calculated, not measured: it uses a GGA-PBE-relaxed structure and a wavelength of 1.5418 Å.
No peak broadening, texture or thermal motion is included.

Structural model:
Cell lengths 4.496, 4.496, 4.498 Å; angles 90.07, 90.07, 90.05 degrees
Fractional coordinates of all 5 atoms:
Tl (0.000, 0.000, 0.000)
Cd (0.506, 0.506, 0.510)
F (0.006, 0.512, 0.514)
F (0.507, 0.507, 0.012)
F (0.512, 0.006, 0.514)

Main lines, sorted by position (2θ from 10° to 90°):
- 3.180 Å, 28.06 deg, I = 100.0
- 2.248 Å, 40.11 deg, I = 30.9
- 1.836 Å, 49.66 deg, I = 42.5
- 1.590 Å, 58.02 deg, I = 20.0
- 1.422 Å, 65.66 deg, I = 18.5
- 1.202 Å, 79.78 deg, I = 16.3

---

Diffraction record for SbP4O12. The XRD peak list is calculated, not measured: it uses a GGA-PBE-relaxed structure and a wavelength of 1.5418 Å.
No peak broadening, texture or thermal motion is included.

Structural model:
Cell lengths 5.385, 14.058, 7.387 Å; angles 90.00, 99.19, 90.00 degrees
Fractional coordinates of all 34 atoms:
Sb (0.014, 0.000, 0.013)
Sb (0.986, 0.500, 0.987)
P (0.274, 0.583, 0.388)
P (0.379, 0.931, 0.417)
P (0.473, 0.360, 0.936)
P (0.500, 0.144, 0.940)
P (0.500, 0.644, 0.060)
P (0.527, 0.860, 0.064)
P (0.621, 0.431, 0.583)
P (0.726, 0.083, 0.612)
O (0.121, 0.507, 0.265)
O (0.132, 0.965, 0.297)
O (0.142, 0.660, 0.464)
O (0.212, 0.371, 0.987)
O (0.233, 0.129, 0.979)
O (0.297, 0.590, 0.934)
O (0.325, 0.922, 0.953)
O (0.363, 0.872, 0.577)
O (0.434, 0.754, 0.030)
O (0.453, 0.526, 0.546)
O (0.458, 0.376, 0.723)
O (0.488, 0.623, 0.268)
O (0.512, 0.123, 0.732)
O (0.542, 0.876, 0.277)
O (0.547, 0.026, 0.454)
O (0.566, 0.254, 0.970)
O (0.637, 0.372, 0.423)
O (0.675, 0.422, 0.047)
O (0.703, 0.090, 0.066)
O (0.767, 0.629, 0.021)
O (0.788, 0.871, 0.013)
O (0.858, 0.160, 0.536)
O (0.868, 0.465, 0.703)
O (0.879, 0.007, 0.735)

Main lines, sorted by position (2θ from 10° to 90°):
- 7.292 Å, 12.14 deg, I = 71.0
- 7.029 Å, 12.59 deg, I = 100.0
- 4.240 Å, 20.95 deg, I = 29.8
- 3.887 Å, 22.88 deg, I = 60.2
- 3.646 Å, 24.41 deg, I = 34.5
- 2.932 Å, 30.49 deg, I = 30.7

---

Diffraction record for Bi10Te2Br4O17. The XRD peak list is calculated, not measured: it uses a GGA-PBE-relaxed structure and a wavelength of 1.5418 Å.
No peak broadening, texture or thermal motion is included.

Structural model:
Cell lengths 19.373, 19.373, 19.373 Å; angles 163.37, 163.37, 23.60 degrees
Fractional coordinates of all 33 atoms:
Bi (0.000, 0.000, 0.000)
Bi (0.115, 0.115, 0.000)
Bi (0.184, 0.684, 0.500)
Bi (0.363, 0.363, 0.000)
Bi (0.431, 0.931, 0.500)
Bi (0.500, 0.500, 0.000)
Bi (0.620, 0.620, 0.000)
Bi (0.684, 0.184, 0.500)
Bi (0.863, 0.863, 0.000)
Bi (0.931, 0.431, 0.500)
Te (0.257, 0.257, 0.000)
Te (0.744, 0.744, 0.000)
Br (0.064, 0.564, 0.500)
Br (0.312, 0.812, 0.500)
Br (0.564, 0.064, 0.500)
Br (0.812, 0.312, 0.500)
O (0.003, 0.003, 0.541)
O (0.003, 0.462, 0.000)
O (0.143, 0.143, 0.500)
O (0.143, 0.643, 0.000)
O (0.222, 0.222, 0.500)
O (0.222, 0.722, 0.000)
O (0.390, 0.390, 0.485)
O (0.390, 0.905, 0.000)
O (0.462, 0.003, 0.000)
O (0.462, 0.462, 0.459)
O (0.643, 0.143, 0.000)
O (0.643, 0.643, 0.500)
O (0.695, 0.695, 0.000)
O (0.722, 0.222, 0.000)
O (0.722, 0.722, 0.500)
O (0.905, 0.390, 0.000)
O (0.905, 0.905, 0.515)

Main lines, sorted by position (2θ from 10° to 90°):
- 3.656 Å, 24.35 deg, I = 10.8
- 3.040 Å, 29.38 deg, I = 100.0
- 2.802 Å, 31.94 deg, I = 35.5
- 1.981 Å, 45.80 deg, I = 19.5
- 1.810 Å, 50.43 deg, I = 21.1
- 1.660 Å, 55.35 deg, I = 34.8

---

Diffraction record for Sc2FeB2Ru2Rh3. The XRD peak list is calculated, not measured: it uses a GGA-PBE-relaxed structure and a wavelength of 1.5418 Å.
No peak broadening, texture or thermal motion is included.

Structural model:
Cell lengths 9.341, 9.402, 3.045 Å; angles 90.00, 90.00, 90.00 degrees
Fractional coordinates of all 20 atoms:
Sc (0.175, 0.177, 0.000)
Sc (0.325, 0.677, 0.000)
Sc (0.675, 0.323, 0.000)
Sc (0.825, 0.823, 0.000)
Fe (0.000, 0.500, 0.000)
Fe (0.500, 0.000, 0.000)
B (0.122, 0.870, 0.000)
B (0.378, 0.370, 0.000)
B (0.622, 0.630, 0.000)
B (0.878, 0.130, 0.000)
Ru (0.070, 0.714, 0.500)
Ru (0.430, 0.214, 0.500)
Ru (0.570, 0.786, 0.500)
Ru (0.930, 0.286, 0.500)
Rh (0.000, 0.000, 0.500)
Rh (0.216, 0.431, 0.500)
Rh (0.284, 0.931, 0.500)
Rh (0.500, 0.500, 0.500)
Rh (0.716, 0.069, 0.500)
Rh (0.784, 0.569, 0.500)

Main lines, sorted by position (2θ from 10° to 90°):
- 3.045 Å, 29.33 deg, I = 88.7
- 2.463 Å, 36.47 deg, I = 91.0
- 2.279 Å, 39.54 deg, I = 73.9
- 2.127 Å, 42.51 deg, I = 100.0
- 2.121 Å, 42.63 deg, I = 97.3
- 1.977 Å, 45.91 deg, I = 87.9

---

Diffraction record for Ce3Cu4Ge4. The XRD peak list is calculated, not measured: it uses a GGA-PBE-relaxed structure and a wavelength of 1.5418 Å.
No peak broadening, texture or thermal motion is included.

Structural model:
Cell lengths 8.122, 8.122, 8.122 Å; angles 148.88, 131.53, 58.73 degrees
Fractional coordinates of all 11 atoms:
Ce (0.000, 0.000, 0.000)
Ce (0.368, 0.868, 0.500)
Ce (0.632, 0.132, 0.500)
Cu (0.021, 0.333, 0.687)
Cu (0.354, 0.667, 0.687)
Cu (0.646, 0.333, 0.313)
Cu (0.979, 0.667, 0.313)
Ge (0.216, 0.216, 0.000)
Ge (0.309, 0.500, 0.809)
Ge (0.691, 0.500, 0.191)
Ge (0.784, 0.784, 0.000)

Main lines, sorted by position (2θ from 10° to 90°):
- 2.603 Å, 34.45 deg, I = 100.0
- 2.540 Å, 35.34 deg, I = 88.2
- 2.359 Å, 38.14 deg, I = 16.4
- 2.179 Å, 41.44 deg, I = 36.2
- 2.011 Å, 45.09 deg, I = 25.1
- 1.478 Å, 62.88 deg, I = 24.7

---

Diffraction record for MgTe4Mo2W2Se2S2. The XRD peak list is calculated, not measured: it uses a GGA-PBE-relaxed structure and a wavelength of 1.5418 Å.
No peak broadening, texture or thermal motion is included.

Structural model:
Cell lengths 3.409, 3.409, 43.415 Å; angles 89.17, 89.21, 60.01 degrees
Fractional coordinates of all 13 atoms:
Mg (0.000, 0.000, 0.000)
Te (0.009, 0.013, 0.686)
Te (0.665, 0.667, 0.335)
Te (0.675, 0.679, 0.249)
Te (0.999, 0.001, 0.772)
Mo (0.003, 0.006, 0.292)
Mo (0.997, 0.998, 0.911)
W (0.671, 0.674, 0.109)
W (0.671, 0.674, 0.729)
Se (0.000, 0.002, 0.147)
Se (0.009, 0.012, 0.071)
S (0.659, 0.660, 0.946)
S (0.668, 0.670, 0.877)

Main lines, sorted by position (2θ from 10° to 90°):
- 8.682 Å, 10.19 deg, I = 100.0
- 7.235 Å, 12.23 deg, I = 16.7
- 2.952 Å, 30.28 deg, I = 27.3
- 2.585 Å, 34.70 deg, I = 16.5
- 2.221 Å, 40.62 deg, I = 17.2
- 1.705 Å, 53.77 deg, I = 19.1

---

Diffraction record for Lu2FeB6. The XRD peak list is calculated, not measured: it uses a GGA-PBE-relaxed structure and a wavelength of 1.5418 Å.
No peak broadening, texture or thermal motion is included.

Structural model:
Cell lengths 8.968, 11.317, 3.474 Å; angles 90.00, 90.00, 90.00 degrees
Fractional coordinates of all 36 atoms:
Lu (0.057, 0.129, 0.000)
Lu (0.177, 0.415, 0.000)
Lu (0.323, 0.915, 0.000)
Lu (0.443, 0.629, 0.000)
Lu (0.557, 0.371, 0.000)
Lu (0.677, 0.085, 0.000)
Lu (0.823, 0.585, 0.000)
Lu (0.943, 0.871, 0.000)
Fe (0.139, 0.679, 0.000)
Fe (0.361, 0.179, 0.000)
Fe (0.639, 0.821, 0.000)
Fe (0.861, 0.321, 0.000)
B (0.015, 0.288, 0.500)
B (0.054, 0.567, 0.500)
B (0.107, 0.971, 0.500)
B (0.132, 0.815, 0.500)
B (0.209, 0.234, 0.500)
B (0.248, 0.581, 0.500)
B (0.252, 0.081, 0.500)
B (0.291, 0.734, 0.500)
B (0.368, 0.315, 0.500)
B (0.393, 0.471, 0.500)
B (0.446, 0.067, 0.500)
B (0.485, 0.788, 0.500)
B (0.515, 0.212, 0.500)
B (0.554, 0.933, 0.500)
B (0.607, 0.529, 0.500)
B (0.632, 0.685, 0.500)
B (0.709, 0.266, 0.500)
B (0.748, 0.919, 0.500)
B (0.752, 0.419, 0.500)
B (0.791, 0.766, 0.500)
B (0.868, 0.185, 0.500)
B (0.893, 0.029, 0.500)
B (0.946, 0.433, 0.500)
B (0.985, 0.712, 0.500)

Main lines, sorted by position (2θ from 10° to 90°):
- 3.475 Å, 25.64 deg, I = 100.0
- 2.889 Å, 30.96 deg, I = 82.8
- 2.829 Å, 31.62 deg, I = 30.4
- 2.221 Å, 40.62 deg, I = 97.8
- 2.194 Å, 41.15 deg, I = 35.9
- 2.104 Å, 43.00 deg, I = 33.8

---

Diffraction record for Li10Fe4S9. The XRD peak list is calculated, not measured: it uses a GGA-PBE-relaxed structure and a wavelength of 1.5418 Å.
No peak broadening, texture or thermal motion is included.

Structural model:
Cell lengths 11.749, 11.749, 5.719 Å; angles 90.00, 90.00, 90.00 degrees
Fractional coordinates of all 46 atoms:
Li (0.066, 0.100, 0.035)
Li (0.066, 0.400, 0.035)
Li (0.100, 0.066, 0.535)
Li (0.100, 0.434, 0.535)
Li (0.250, 0.250, 0.075)
Li (0.250, 0.250, 0.575)
Li (0.400, 0.066, 0.535)
Li (0.400, 0.434, 0.535)
Li (0.434, 0.100, 0.035)
Li (0.434, 0.400, 0.035)
Li (0.566, 0.600, 0.965)
Li (0.566, 0.900, 0.965)
Li (0.600, 0.566, 0.465)
Li (0.600, 0.934, 0.465)
Li (0.750, 0.750, 0.425)
Li (0.750, 0.750, 0.925)
Li (0.900, 0.566, 0.465)
Li (0.900, 0.934, 0.465)
Li (0.934, 0.600, 0.965)
Li (0.934, 0.900, 0.965)
Fe (0.097, 0.750, 0.481)
Fe (0.250, 0.597, 0.019)
Fe (0.250, 0.903, 0.019)
Fe (0.403, 0.750, 0.481)
Fe (0.597, 0.250, 0.519)
Fe (0.750, 0.097, 0.981)
Fe (0.750, 0.403, 0.981)
Fe (0.903, 0.250, 0.519)
S (0.084, 0.250, 0.322)
S (0.085, 0.585, 0.250)
S (0.085, 0.915, 0.250)
S (0.250, 0.084, 0.822)
S (0.250, 0.416, 0.822)
S (0.250, 0.750, 0.750)
S (0.415, 0.585, 0.250)
S (0.415, 0.915, 0.250)
S (0.416, 0.250, 0.322)
S (0.584, 0.750, 0.678)
S (0.585, 0.085, 0.750)
S (0.585, 0.415, 0.750)
S (0.750, 0.250, 0.250)
S (0.750, 0.584, 0.178)
S (0.750, 0.916, 0.178)
S (0.915, 0.085, 0.750)
S (0.915, 0.415, 0.750)
S (0.916, 0.750, 0.678)

Main lines, sorted by position (2θ from 10° to 90°):
- 8.308 Å, 10.65 deg, I = 70.8
- 4.098 Å, 21.69 deg, I = 84.3
- 3.231 Å, 27.61 deg, I = 100.0
- 3.116 Å, 28.65 deg, I = 41.8
- 2.613 Å, 34.32 deg, I = 45.6
- 1.989 Å, 45.60 deg, I = 70.5